The following is a simulated powder diffraction line list of CdF2. It was derived from DFT lattice parameters and positions (GGA-PBE), using Cu Kα.
Peak positions follow from Bragg's law for the DFT cell and can differ from measured ones.

Largest 8 diffraction maxima, in order of rising 2θ, 10° ≤ 2θ ≤ 90°:
d_spacing  Rel. int.
3.717  78
3.240  62
2.892  59
2.442  37
2.157  100
1.945  38
1.668  42
1.413  23

abc: 3.240 4.035 4.035
angles: 45.78 90.00 90.00
Sites, in units of the cell vectors:
Cd (0.000, 0.000, 0.000)
F (0.000, 0.706, 0.706)
F (0.500, 0.417, 0.417)